No. 1
Starting from the PBE geometry in Alexandria, the X-ray powder pattern of NbCr3Cu2S8 was computed for Cu Kα X-rays.
No peak broadening, texture or thermal motion is included.

Most intense lines, 5 to 70 degrees two-theta, low angle first:
| 2θ (°) | Rel. int. |
| --- | --- |
| 19.53 | 40 |
| 26.92 | 29 |
| 29.80 | 52 |
| 30.10 | 42 |
| 30.91 | 59 |
| 31.50 | 58 |
| 43.22 | 100 |
| 44.05 | 52 |
| 52.52 | 86 |
| 53.41 | 38 |

Cell and atoms:
Cell: 5.7739 12.1355 8.8713 Å, 90.00 129.33 90.00°
Fractional positions:
Nb (0.0000, 0.0000, 0.0000)
Nb (0.0000, 0.5000, 0.5000)
Cr (0.2234, 0.2480, 0.7289)
Cr (0.2234, 0.2520, 0.2289)
Cr (0.5000, 0.0000, 0.5000)
Cr (0.5000, 0.5000, 0.0000)
Cr (0.7766, 0.7480, 0.7711)
Cr (0.7766, 0.7520, 0.2711)
Cu (0.1602, 0.5832, 0.2669)
Cu (0.1602, 0.9168, 0.7669)
Cu (0.8398, 0.0832, 0.2331)
Cu (0.8398, 0.4168, 0.7331)
S (0.0106, 0.5872, 0.7617)
S (0.0106, 0.9128, 0.2617)
S (0.2613, 0.6726, 0.5223)
S (0.2613, 0.8274, 0.0223)
S (0.2648, 0.1690, 0.4924)
S (0.2648, 0.3310, 0.9924)
S (0.4772, 0.0892, 0.2528)
S (0.4772, 0.4108, 0.7528)
S (0.5228, 0.5892, 0.2472)
S (0.5228, 0.9108, 0.7472)
S (0.7352, 0.6690, 0.0076)
S (0.7352, 0.8310, 0.5076)
S (0.7387, 0.1726, 0.9777)
S (0.7387, 0.3274, 0.4777)
S (0.9894, 0.0872, 0.7383)
S (0.9894, 0.4128, 0.2383)

***

No. 2
Starting from the PBE geometry in Alexandria, the X-ray powder pattern of Na2Pr3Se3O2 was computed for Cu Kα X-rays.
No peak broadening, texture or thermal motion is included.

Most intense lines, 5 to 70 degrees two-theta, low angle first:
| 2θ (°) | Rel. int. |
| --- | --- |
| 6.73 | 60 |
| 23.14 | 40 |
| 27.15 | 66 |
| 29.53 | 100 |
| 30.32 | 25 |
| 32.59 | 22 |
| 36.09 | 21 |
| 40.54 | 66 |
| 42.25 | 49 |
| 50.95 | 46 |

Cell and atoms:
Cell: 13.4817 13.4817 13.4817 Å, 161.74 161.74 25.93°
Fractional positions:
Na (0.2500, 0.7500, 0.5000)
Na (0.7500, 0.2500, 0.5000)
Pr (0.0000, 0.0000, 0.0000)
Pr (0.3691, 0.3691, 0.0000)
Pr (0.6309, 0.6309, 0.0000)
Se (0.1158, 0.1158, 0.0000)
Se (0.5000, 0.5000, 0.0000)
Se (0.8842, 0.8842, 0.0000)
O (0.2891, 0.2891, 0.0000)
O (0.7109, 0.7109, 0.0000)

***

No. 3
Starting from the PBE geometry in Alexandria, the X-ray powder pattern of KYGeSe4 was computed for Cu Kα X-rays.
No peak broadening, texture or thermal motion is included.

Most intense lines, 5 to 70 degrees two-theta, low angle first:
| 2θ (°) | Rel. int. |
| --- | --- |
| 10.14 | 100 |
| 16.17 | 32 |
| 25.28 | 25 |
| 28.86 | 63 |
| 28.99 | 32 |
| 30.71 | 58 |
| 31.71 | 47 |
| 32.68 | 23 |
| 33.00 | 25 |
| 39.42 | 27 |

Cell and atoms:
Cell: 6.7856 7.0448 9.1459 Å, 90.00 107.54 90.00°
Fractional positions:
K (0.2467, 0.2500, 0.0585)
K (0.7533, 0.7500, 0.9415)
Y (0.2273, 0.2500, 0.5525)
Y (0.7727, 0.7500, 0.4475)
Ge (0.2266, 0.7500, 0.3287)
Ge (0.7734, 0.2500, 0.6713)
Se (0.0113, 0.5088, 0.7108)
Se (0.0113, 0.9912, 0.7108)
Se (0.4316, 0.7500, 0.1629)
Se (0.4410, 0.7500, 0.5853)
Se (0.5590, 0.2500, 0.4147)
Se (0.5684, 0.2500, 0.8371)
Se (0.9887, 0.0088, 0.2892)
Se (0.9887, 0.4912, 0.2892)

***

No. 4
Starting from the PBE geometry in Alexandria, the X-ray powder pattern of Ce4TcOs was computed for Cu Kα X-rays.
No peak broadening, texture or thermal motion is included.

Most intense lines, 5 to 70 degrees two-theta, low angle first:
| 2θ (°) | Rel. int. |
| --- | --- |
| 17.94 | 37 |
| 23.40 | 23 |
| 31.25 | 47 |
| 35.13 | 100 |
| 36.51 | 75 |
| 37.44 | 45 |
| 39.64 | 16 |
| 41.86 | 34 |
| 47.71 | 36 |
| 55.07 | 19 |

Cell and atoms:
Cell: 10.1579 10.1579 5.9838 Å, 90.00 90.00 150.88°
Fractional positions:
Ce (0.0537, 0.9463, 0.5000)
Ce (0.2050, 0.7950, 0.7205)
Ce (0.2213, 0.7787, 0.2743)
Ce (0.3912, 0.6088, 0.5928)
Ce (0.6088, 0.3912, 0.0928)
Ce (0.7787, 0.2213, 0.7743)
Ce (0.7950, 0.2050, 0.2205)
Ce (0.9463, 0.0537, 0.0000)
Tc (0.3482, 0.6518, 0.9714)
Tc (0.6518, 0.3482, 0.4714)
Os (0.0779, 0.9221, 0.9886)
Os (0.9221, 0.0779, 0.4886)